Diffraction record for Ti4Fe2O. The X-ray powder pattern is calculated, not measured: it uses the PBE+U geometry in the Materials Project and Cu Kα (weighted mean of Kα1 and Kα2).

Structural model:
Cell: 8.032 8.032 8.032 Å, 60.00 60.00 60.00°
Element x y z (fractional)
Ti (0.000, 0.000, 0.000)
Ti (0.000, 0.000, 0.500)
Ti (0.000, 0.500, 0.000)
Ti (0.188, 0.188, 0.562)
Ti (0.188, 0.562, 0.188)
Ti (0.188, 0.562, 0.562)
Ti (0.438, 0.438, 0.812)
Ti (0.438, 0.812, 0.438)
Ti (0.438, 0.812, 0.812)
Ti (0.500, 0.000, 0.000)
Ti (0.562, 0.188, 0.188)
Ti (0.562, 0.188, 0.562)
Ti (0.562, 0.562, 0.188)
Ti (0.812, 0.438, 0.438)
Ti (0.812, 0.438, 0.812)
Ti (0.812, 0.812, 0.438)
Fe (0.133, 0.789, 0.789)
Fe (0.211, 0.211, 0.211)
Fe (0.211, 0.211, 0.867)
Fe (0.211, 0.867, 0.211)
Fe (0.789, 0.133, 0.789)
Fe (0.789, 0.789, 0.133)
Fe (0.789, 0.789, 0.789)
Fe (0.867, 0.211, 0.211)
O (0.000, 0.500, 0.500)
O (0.500, 0.000, 0.500)
O (0.500, 0.500, 0.000)
O (0.500, 0.500, 0.500)

Largest 10 diffraction maxima, low angle first, 10° ≤ 2θ ≤ 90°:
Position (°2θ), I_rel
13.50, 6
38.84, 29
41.30, 100
45.16, 29
48.06, 12
70.33, 27
72.00, 6
76.93, 6
84.96, 16
89.71, 6



Diffraction record for Mn7PbO12. The X-ray powder pattern is calculated, not measured: it uses the PBE+U geometry in the Materials Project and Cu Kα (weighted mean of Kα1 and Kα2).

Structural model:
Cell: 6.572 6.572 10.638 Å, 90.55 90.55 69.83°
Element x y z (fractional)
Mn (0.000, 0.000, 0.000)
Mn (0.000, 0.500, 0.000)
Mn (0.000, 0.500, 0.500)
Mn (0.250, 0.250, 0.250)
Mn (0.250, 0.250, 0.750)
Mn (0.250, 0.750, 0.250)
Mn (0.250, 0.750, 0.750)
Mn (0.500, 0.000, 0.000)
Mn (0.500, 0.000, 0.500)
Mn (0.500, 0.500, 0.500)
Mn (0.750, 0.250, 0.250)
Mn (0.750, 0.250, 0.750)
Mn (0.750, 0.750, 0.250)
Mn (0.750, 0.750, 0.750)
Pb (0.000, 0.000, 0.500)
Pb (0.500, 0.500, 0.000)
O (0.020, 0.657, 0.347)
O (0.067, 0.067, 0.251)
O (0.096, 0.724, 0.090)
O (0.157, 0.520, 0.846)
O (0.225, 0.598, 0.592)
O (0.248, 0.248, 0.434)
O (0.252, 0.252, 0.067)
O (0.276, 0.904, 0.910)
O (0.343, 0.980, 0.653)
O (0.402, 0.775, 0.408)
O (0.433, 0.433, 0.248)
O (0.480, 0.843, 0.154)
O (0.520, 0.157, 0.846)
O (0.567, 0.567, 0.752)
O (0.598, 0.225, 0.592)
O (0.657, 0.020, 0.347)
O (0.724, 0.096, 0.090)
O (0.748, 0.748, 0.933)
O (0.752, 0.752, 0.566)
O (0.775, 0.402, 0.408)
O (0.843, 0.480, 0.154)
O (0.904, 0.276, 0.910)
O (0.933, 0.933, 0.749)
O (0.980, 0.343, 0.653)

Largest 10 diffraction maxima, low angle first, 10° ≤ 2θ ≤ 90°:
Position (°2θ), I_rel
16.61, 45
28.93, 19
33.25, 36
33.49, 68
33.69, 100
47.77, 17
48.38, 34
59.43, 16
59.82, 16
60.00, 33



Diffraction record for Li2Cr3P4H4O16. The X-ray powder pattern is calculated, not measured: it uses the PBE+U geometry in the Materials Project and Cu Kα (weighted mean of Kα1 and Kα2).

Structural model:
Cell: 9.089 8.209 9.284 Å, 90.00 103.51 90.00°
Element x y z (fractional)
Li (0.016, 0.166, 0.478)
Li (0.016, 0.334, 0.978)
Li (0.984, 0.666, 0.022)
Li (0.984, 0.834, 0.522)
Cr (0.360, 0.648, 0.504)
Cr (0.360, 0.852, 0.004)
Cr (0.500, 0.000, 0.500)
Cr (0.500, 0.500, 0.000)
Cr (0.640, 0.148, 0.996)
Cr (0.640, 0.352, 0.496)
P (0.170, 0.569, 0.772)
P (0.170, 0.931, 0.272)
P (0.373, 0.190, 0.204)
P (0.373, 0.310, 0.704)
P (0.627, 0.690, 0.296)
P (0.627, 0.810, 0.796)
P (0.830, 0.069, 0.728)
P (0.830, 0.431, 0.228)
H (0.116, 0.508, 0.291)
H (0.116, 0.992, 0.791)
H (0.277, 0.040, 0.772)
H (0.277, 0.460, 0.272)
H (0.723, 0.540, 0.728)
H (0.723, 0.960, 0.228)
H (0.884, 0.008, 0.209)
H (0.884, 0.492, 0.709)
O (0.044, 0.539, 0.853)
O (0.044, 0.961, 0.353)
O (0.126, 0.670, 0.631)
O (0.126, 0.830, 0.131)
O (0.214, 0.114, 0.227)
O (0.214, 0.386, 0.727)
O (0.223, 0.504, 0.346)
O (0.223, 0.996, 0.846)
O (0.315, 0.635, 0.879)
O (0.315, 0.865, 0.379)
O (0.331, 0.145, 0.635)
O (0.331, 0.355, 0.135)
O (0.439, 0.066, 0.113)
O (0.439, 0.434, 0.613)
O (0.480, 0.200, 0.361)
O (0.480, 0.300, 0.861)
O (0.520, 0.700, 0.139)
O (0.520, 0.800, 0.639)
O (0.561, 0.566, 0.387)
O (0.561, 0.934, 0.887)
O (0.669, 0.645, 0.865)
O (0.669, 0.855, 0.365)
O (0.685, 0.135, 0.621)
O (0.685, 0.365, 0.121)
O (0.777, 0.004, 0.154)
O (0.777, 0.496, 0.654)
O (0.786, 0.614, 0.273)
O (0.786, 0.886, 0.773)
O (0.874, 0.170, 0.869)
O (0.874, 0.330, 0.369)
O (0.956, 0.039, 0.647)
O (0.956, 0.461, 0.147)

Largest 10 diffraction maxima, low angle first, 10° ≤ 2θ ≤ 90°:
Position (°2θ), I_rel
10.01, 100
16.36, 17
18.99, 19
19.89, 12
26.51, 17
26.77, 30
27.00, 40
29.57, 21
36.47, 15
39.04, 13



Diffraction record for Li4MnV3P8O28. The X-ray powder pattern is calculated, not measured: it uses the PBE+U geometry in the Materials Project and Cu Kα (weighted mean of Kα1 and Kα2).

Structural model:
Cell: 4.867 7.054 16.587 Å, 89.39 89.59 71.20°
Element x y z (fractional)
Li (0.000, 0.000, 0.000)
Li (0.001, 0.001, 0.499)
Li (0.352, 0.651, 0.251)
Li (0.354, 0.651, 0.750)
Mn (0.962, 0.057, 0.319)
V (0.391, 0.597, 0.069)
V (0.394, 0.599, 0.569)
V (0.961, 0.054, 0.819)
P (0.391, 0.237, 0.212)
P (0.391, 0.240, 0.711)
P (0.577, 0.803, 0.909)
P (0.580, 0.804, 0.408)
P (0.778, 0.848, 0.660)
P (0.779, 0.843, 0.160)
P (0.965, 0.411, 0.962)
P (0.968, 0.412, 0.463)
O (0.045, 0.212, 0.918)
O (0.052, 0.211, 0.421)
O (0.119, 0.180, 0.232)
O (0.127, 0.177, 0.731)
O (0.227, 0.474, 0.982)
O (0.227, 0.479, 0.482)
O (0.309, 0.437, 0.167)
O (0.310, 0.441, 0.668)
O (0.364, 0.844, 0.838)
O (0.367, 0.843, 0.337)
O (0.424, 0.819, 0.991)
O (0.428, 0.820, 0.490)
O (0.570, 0.720, 0.157)
O (0.573, 0.242, 0.286)
O (0.574, 0.721, 0.658)
O (0.575, 0.241, 0.786)
O (0.583, 0.076, 0.147)
O (0.583, 0.080, 0.646)
O (0.774, 0.573, 0.896)
O (0.776, 0.573, 0.396)
O (0.778, 0.409, 0.036)
O (0.778, 0.412, 0.538)
O (0.781, 0.930, 0.908)
O (0.781, 0.934, 0.407)
O (0.930, 0.831, 0.741)
O (0.932, 0.820, 0.240)
O (0.989, 0.808, 0.087)
O (0.992, 0.809, 0.588)

Largest 10 diffraction maxima, low angle first, 10° ≤ 2θ ≤ 90°:
Position (°2θ), I_rel
16.97, 100
17.12, 97
22.07, 40
22.24, 45
22.43, 47
26.82, 44
28.93, 59
29.03, 67
29.32, 56
29.44, 28



Diffraction record for KMg14FeO16. The X-ray powder pattern is calculated, not measured: it uses the PBE+U geometry in the Materials Project and Cu Kα (weighted mean of Kα1 and Kα2).

Structural model:
Cell: 8.636 8.636 4.387 Å, 90.00 90.00 90.00°
Element x y z (fractional)
K (0.000, 0.000, 0.000)
Mg (0.000, 0.250, 0.500)
Mg (0.000, 0.500, 0.000)
Mg (0.000, 0.750, 0.500)
Mg (0.246, 0.500, 0.500)
Mg (0.247, 0.247, 0.000)
Mg (0.247, 0.753, 0.000)
Mg (0.250, 0.000, 0.500)
Mg (0.500, 0.000, 0.000)
Mg (0.500, 0.246, 0.500)
Mg (0.500, 0.754, 0.500)
Mg (0.750, 0.000, 0.500)
Mg (0.753, 0.247, 0.000)
Mg (0.753, 0.753, 0.000)
Mg (0.754, 0.500, 0.500)
Fe (0.500, 0.500, 0.000)
O (0.000, 0.000, 0.500)
O (0.000, 0.276, 0.000)
O (0.000, 0.500, 0.500)
O (0.000, 0.724, 0.000)
O (0.252, 0.252, 0.500)
O (0.252, 0.748, 0.500)
O (0.263, 0.500, 0.000)
O (0.276, 0.000, 0.000)
O (0.500, 0.000, 0.500)
O (0.500, 0.263, 0.000)
O (0.500, 0.500, 0.500)
O (0.500, 0.737, 0.000)
O (0.724, 0.000, 0.000)
O (0.737, 0.500, 0.000)
O (0.748, 0.252, 0.500)
O (0.748, 0.748, 0.500)

Largest 10 diffraction maxima, low angle first, 10° ≤ 2θ ≤ 90°:
Position (°2θ), I_rel
14.51, 5
35.83, 25
41.15, 54
41.84, 100
60.14, 58
60.66, 28
71.54, 5
72.50, 10
75.94, 26
89.33, 4



Diffraction record for MnNbO4. The X-ray powder pattern is calculated, not measured: it uses the PBE+U geometry in the Materials Project and Cu Kα (weighted mean of Kα1 and Kα2).

Structural model:
Cell: 3.877 3.877 10.357 Å, 90.00 90.00 90.00°
Element x y z (fractional)
Mn (0.000, 0.000, 0.000)
Mn (0.500, 0.500, 0.500)
Nb (0.000, 0.500, 0.750)
Nb (0.500, 0.000, 0.250)
O (0.000, 0.000, 0.213)
O (0.000, 0.000, 0.787)
O (0.000, 0.500, 0.550)
O (0.000, 0.500, 0.950)
O (0.500, 0.000, 0.050)
O (0.500, 0.000, 0.450)
O (0.500, 0.500, 0.287)
O (0.500, 0.500, 0.713)

Largest 10 diffraction maxima, low angle first, 10° ≤ 2θ ≤ 90°:
Position (°2θ), I_rel
24.52, 100
34.64, 21
34.79, 15
37.10, 19
46.87, 24
49.92, 20
53.59, 21
59.57, 16
63.71, 10
70.88, 12



Number 4 is which compound?
Li4MnV3P8O28



Repeat the third record exactly.
Diffraction record for Li2Cr3P4H4O16. The X-ray powder pattern is calculated, not measured: it uses the PBE+U geometry in the Materials Project and Cu Kα (weighted mean of Kα1 and Kα2).

Structural model:
Cell: 9.089 8.209 9.284 Å, 90.00 103.51 90.00°
Element x y z (fractional)
Li (0.016, 0.166, 0.478)
Li (0.016, 0.334, 0.978)
Li (0.984, 0.666, 0.022)
Li (0.984, 0.834, 0.522)
Cr (0.360, 0.648, 0.504)
Cr (0.360, 0.852, 0.004)
Cr (0.500, 0.000, 0.500)
Cr (0.500, 0.500, 0.000)
Cr (0.640, 0.148, 0.996)
Cr (0.640, 0.352, 0.496)
P (0.170, 0.569, 0.772)
P (0.170, 0.931, 0.272)
P (0.373, 0.190, 0.204)
P (0.373, 0.310, 0.704)
P (0.627, 0.690, 0.296)
P (0.627, 0.810, 0.796)
P (0.830, 0.069, 0.728)
P (0.830, 0.431, 0.228)
H (0.116, 0.508, 0.291)
H (0.116, 0.992, 0.791)
H (0.277, 0.040, 0.772)
H (0.277, 0.460, 0.272)
H (0.723, 0.540, 0.728)
H (0.723, 0.960, 0.228)
H (0.884, 0.008, 0.209)
H (0.884, 0.492, 0.709)
O (0.044, 0.539, 0.853)
O (0.044, 0.961, 0.353)
O (0.126, 0.670, 0.631)
O (0.126, 0.830, 0.131)
O (0.214, 0.114, 0.227)
O (0.214, 0.386, 0.727)
O (0.223, 0.504, 0.346)
O (0.223, 0.996, 0.846)
O (0.315, 0.635, 0.879)
O (0.315, 0.865, 0.379)
O (0.331, 0.145, 0.635)
O (0.331, 0.355, 0.135)
O (0.439, 0.066, 0.113)
O (0.439, 0.434, 0.613)
O (0.480, 0.200, 0.361)
O (0.480, 0.300, 0.861)
O (0.520, 0.700, 0.139)
O (0.520, 0.800, 0.639)
O (0.561, 0.566, 0.387)
O (0.561, 0.934, 0.887)
O (0.669, 0.645, 0.865)
O (0.669, 0.855, 0.365)
O (0.685, 0.135, 0.621)
O (0.685, 0.365, 0.121)
O (0.777, 0.004, 0.154)
O (0.777, 0.496, 0.654)
O (0.786, 0.614, 0.273)
O (0.786, 0.886, 0.773)
O (0.874, 0.170, 0.869)
O (0.874, 0.330, 0.369)
O (0.956, 0.039, 0.647)
O (0.956, 0.461, 0.147)

Largest 10 diffraction maxima, low angle first, 10° ≤ 2θ ≤ 90°:
Position (°2θ), I_rel
10.01, 100
16.36, 17
18.99, 19
19.89, 12
26.51, 17
26.77, 30
27.00, 40
29.57, 21
36.47, 15
39.04, 13